For Pr3Si4Pt2, a crystal structure in Alexandria, relaxed with PBE gives the theoretical powder diffractogram in this record (Cu Kα (weighted mean of Kα1 and Kα2)).
No peak broadening, texture or thermal motion is included.

a b c (Å): 6.021 6.021 8.411
angles (deg): 98.91 98.91 40.43
Fractional coordinates of all 9 atoms:
Pr (0.000, 0.000, 0.000)
Pr (0.335, 0.335, 0.335)
Pr (0.665, 0.665, 0.665)
Si (0.053, 0.053, 0.388)
Si (0.275, 0.275, 0.936)
Si (0.725, 0.725, 0.064)
Si (0.947, 0.947, 0.612)
Pt (0.392, 0.392, 0.723)
Pt (0.608, 0.608, 0.277)

Top 8 peaks for 10° ≤ 2θ ≤ 90°, by angle:
- d 5.026, 17.65 deg, rel. 29
- d 2.784, 32.15 deg, rel. 45
- d 2.769, 32.33 deg, rel. 100
- d 2.762, 32.41 deg, rel. 73
- d 2.154, 41.94 deg, rel. 32
- d 2.090, 43.28 deg, rel. 59
- d 2.080, 43.50 deg, rel. 29
- d 1.496, 62.04 deg, rel. 42

---

For Pr2Si7Pt12, a crystal structure in Alexandria, relaxed with PBE gives the theoretical powder diffractogram in this record (Cu Kα (weighted mean of Kα1 and Kα2)).
No peak broadening, texture or thermal motion is included.

a b c (Å): 10.000 10.000 3.997
angles (deg): 90.00 90.00 120.00
Fractional coordinates of all 21 atoms:
Pr (0.000, 0.000, 0.000)
Pr (0.333, 0.667, 0.500)
Si (0.068, 0.622, 0.000)
Si (0.265, 0.047, 0.500)
Si (0.378, 0.446, 0.000)
Si (0.554, 0.932, 0.000)
Si (0.667, 0.333, 0.500)
Si (0.783, 0.735, 0.500)
Si (0.953, 0.217, 0.500)
Pt (0.048, 0.784, 0.500)
Pt (0.117, 0.403, 0.000)
Pt (0.216, 0.263, 0.500)
Pt (0.286, 0.883, 0.000)
Pt (0.408, 0.219, 0.000)
Pt (0.516, 0.065, 0.500)
Pt (0.549, 0.484, 0.500)
Pt (0.597, 0.714, 0.000)
Pt (0.737, 0.952, 0.500)
Pt (0.781, 0.189, 0.000)
Pt (0.811, 0.592, 0.000)
Pt (0.935, 0.451, 0.500)

Top 8 peaks for 10° ≤ 2θ ≤ 90°, by angle:
- d 3.273, 27.24 deg, rel. 19
- d 2.533, 35.44 deg, rel. 100
- d 1.999, 45.38 deg, rel. 17
- d 1.987, 45.66 deg, rel. 16
- d 1.890, 48.15 deg, rel. 16
- d 1.409, 66.34 deg, rel. 11
- d 1.373, 68.31 deg, rel. 11
- d 1.234, 77.31 deg, rel. 11

---

For Pr3Si2Pt7, a crystal structure in Alexandria, relaxed with PBE gives the theoretical powder diffractogram in this record (Cu Kα (weighted mean of Kα1 and Kα2)).
No peak broadening, texture or thermal motion is included.

a b c (Å): 14.587 14.587 4.097
angles (deg): 90.00 90.00 163.39
Fractional coordinates of all 12 atoms:
Pr (0.000, 0.000, 0.000)
Pr (0.199, 0.801, 0.000)
Pr (0.801, 0.199, 0.000)
Si (0.419, 0.581, 0.500)
Si (0.581, 0.419, 0.500)
Pt (0.121, 0.879, 0.500)
Pt (0.288, 0.712, 0.500)
Pt (0.377, 0.623, 0.000)
Pt (0.500, 0.500, 0.500)
Pt (0.623, 0.377, 0.000)
Pt (0.712, 0.288, 0.500)
Pt (0.879, 0.121, 0.500)

Top 8 peaks for 10° ≤ 2θ ≤ 90°, by angle:
- d 3.608, 24.67 deg, rel. 12
- d 2.887, 30.98 deg, rel. 16
- d 2.618, 34.25 deg, rel. 100
- d 2.393, 37.59 deg, rel. 21
- d 2.107, 42.92 deg, rel. 20
- d 2.049, 44.21 deg, rel. 18
- d 1.469, 63.29 deg, rel. 19
- d 1.295, 73.06 deg, rel. 11

---

For PrSi3Pt, a crystal structure in Alexandria, relaxed with PBE gives the theoretical powder diffractogram in this record (Cu Kα (weighted mean of Kα1 and Kα2)).
No peak broadening, texture or thermal motion is included.

a b c (Å): 11.078 11.078 4.223
angles (deg): 90.00 90.00 158.29
Fractional coordinates of all 10 atoms:
Pr (0.170, 0.830, 0.000)
Pr (0.830, 0.170, 0.000)
Si (0.054, 0.946, 0.500)
Si (0.279, 0.721, 0.500)
Si (0.446, 0.554, 0.000)
Si (0.554, 0.446, 0.000)
Si (0.721, 0.279, 0.500)
Si (0.946, 0.054, 0.500)
Pt (0.391, 0.609, 0.500)
Pt (0.609, 0.391, 0.500)

Top 8 peaks for 10° ≤ 2θ ≤ 90°, by angle:
- d 5.440, 16.29 deg, rel. 48
- d 3.012, 29.66 deg, rel. 34
- d 2.941, 30.39 deg, rel. 30
- d 2.748, 32.58 deg, rel. 100
- d 2.111, 42.83 deg, rel. 19
- d 2.092, 43.25 deg, rel. 27
- d 2.086, 43.37 deg, rel. 18
- d 1.485, 62.54 deg, rel. 30

---

For Pr3Si3Pt, a crystal structure in Alexandria, relaxed with PBE gives the theoretical powder diffractogram in this record (Cu Kα (weighted mean of Kα1 and Kα2)).
No peak broadening, texture or thermal motion is included.

a b c (Å): 9.710 9.710 9.710
angles (deg): 155.63 153.96 35.97
Fractional coordinates of all 7 atoms:
Pr (0.000, 0.000, 0.000)
Pr (0.186, 0.686, 0.500)
Pr (0.368, 0.368, 0.000)
Si (0.544, 0.544, 0.000)
Si (0.747, 0.247, 0.500)
Si (0.825, 0.825, 0.000)
Pt (0.619, 0.119, 0.500)

Top 8 peaks for 10° ≤ 2θ ≤ 90°, by angle:
- d 3.412, 26.11 deg, rel. 33
- d 2.846, 31.43 deg, rel. 100
- d 2.823, 31.70 deg, rel. 53
- d 2.511, 35.76 deg, rel. 18
- d 2.219, 40.66 deg, rel. 22
- d 2.188, 41.27 deg, rel. 23
- d 2.050, 44.19 deg, rel. 19
- d 1.659, 55.40 deg, rel. 22

---

For PrSiPt3, a crystal structure in Alexandria, relaxed with PBE gives the theoretical powder diffractogram in this record (Cu Kα (weighted mean of Kα1 and Kα2)).
No peak broadening, texture or thermal motion is included.

a b c (Å): 6.230 6.230 6.230
angles (deg): 141.44 141.44 55.67
Fractional coordinates of all 5 atoms:
Pr (0.000, 0.000, 0.000)
Si (0.372, 0.372, 0.000)
Pt (0.257, 0.757, 0.500)
Pt (0.582, 0.582, 0.000)
Pt (0.757, 0.257, 0.500)

Top 8 peaks for 10° ≤ 2θ ≤ 90°, by angle:
- d 2.755, 32.50 deg, rel. 16
- d 2.740, 32.68 deg, rel. 16
- d 2.573, 34.87 deg, rel. 100
- d 2.057, 44.02 deg, rel. 35
- d 2.000, 45.34 deg, rel. 16
- d 1.943, 46.76 deg, rel. 13
- d 1.648, 55.77 deg, rel. 14
- d 1.266, 75.01 deg, rel. 22